Diffraction record for Li2PaCo2O7. The powder XRD pattern is theoretical, not measured: it uses a PBE+U-relaxed structure and Cu Kα.
Peak positions follow from Bragg's law for the DFT cell and can differ from measured ones.

Top 12 peaks for 2θ from 5° to 70°, by angle:
| 2theta | d/Å | I/Imax |
| --- | --- | --- |
| 10.89 | 8.124 | 100 |
| 19.47 | 4.559 | 35 |
| 20.48 | 4.337 | 13 |
| 24.11 | 3.692 | 78 |
| 32.14 | 2.785 | 24 |
| 33.45 | 2.679 | 29 |
| 35.26 | 2.546 | 45 |
| 41.65 | 2.168 | 16 |
| 45.36 | 1.999 | 11 |
| 54.44 | 1.685 | 16 |
| 56.89 | 1.618 | 12 |
| 60.96 | 1.520 | 17 |

Atomic structure:
```
Li2PaCo2O7
1.0
2.6792 1.5468 8.1238
-2.6792 1.5468 8.1238
0.0000 -3.0937 8.1238
Li Pa Co O
2 1 2 7
direct
0.0763 0.0763 0.0763
0.9237 0.9237 0.9237
0.5000 0.5000 0.5000
0.2353 0.2353 0.2353
0.7647 0.7647 0.7647
0.0000 0.0000 0.0000
0.1151 0.4604 0.7531
0.2469 0.5396 0.8849
0.4604 0.7531 0.1151
0.5396 0.8849 0.2469
0.7531 0.1151 0.4604
0.8849 0.2469 0.5396
```